Entry 1:
Structure and calculated X-ray diffraction stick pattern of LaZn13 (a cell relaxed with GGA-PBE; a wavelength of 1.5418 Å).
Lines closer than 0.1° are merged.

Peak list (6 most intense, 2θ = 5–70°, by intensity)
d [Å]	I/Imax
2.067	100
2.496	87
2.735	43
2.038	25
1.934	18
1.483	14

Atomic structure:
```
data_LaZn13
_chemical_formula_sum 'La8 Zn104'
_cell_length_a 12.229
_cell_length_b 12.229
_cell_length_c 12.229
_cell_angle_alpha 90.00
_cell_angle_beta 90.00
_cell_angle_gamma 90.00
_space_group_name_H-M_alt 'F m -3 c'
_space_group_IT_number 226
_space_group_name_Hall '-F 4a 2 3'
loop_
_atom_site_label
_atom_site_fract_x
_atom_site_fract_y
_atom_site_fract_z
La1 0.250 0.250 0.250
Zn1 0.000 0.000 0.000
Zn2 0.000 0.121 0.179
```

Entry 2:
Structure and calculated X-ray diffraction stick pattern of LaZn (a cell relaxed with GGA-PBE; a wavelength of 1.5418 Å).
Lines closer than 0.1° are merged.

Peak list (6 most intense, 2θ = 5–70°, by intensity)
d [Å]	I/Imax
2.659	100
1.535	36
1.880	18
3.760	12
1.682	5
2.171	4

Atomic structure:
```
data_LaZn
_chemical_formula_sum 'La1 Zn1'
_cell_length_a 3.760
_cell_length_b 3.760
_cell_length_c 3.760
_cell_angle_alpha 90.00
_cell_angle_beta 90.00
_cell_angle_gamma 90.00
_space_group_name_H-M_alt 'P m -3 m'
_space_group_IT_number 221
_space_group_name_Hall '-P 4 2 3'
loop_
_atom_site_label
_atom_site_fract_x
_atom_site_fract_y
_atom_site_fract_z
La1 0.000 0.000 0.000
Zn1 0.500 0.500 0.500
```

Entry 3:
Structure and calculated X-ray diffraction stick pattern of LaZn3 (a cell relaxed with GGA-PBE; a wavelength of 1.5418 Å).
Lines closer than 0.1° are merged.

Peak list (6 most intense, 2θ = 5–70°, by intensity)
d [Å]	I/Imax
2.414	100
2.870	26
2.232	20
3.524	19
1.657	16
1.762	12

Atomic structure:
```
data_LaZn3
_chemical_formula_sum 'La2 Zn6'
_cell_length_a 6.6277
_cell_length_b 6.6277
_cell_length_c 4.4636
_cell_angle_alpha 90.00
_cell_angle_beta 90.00
_cell_angle_gamma 120.00
_space_group_name_H-M_alt 'P 63/m m c'
_space_group_IT_number 194
_space_group_name_Hall '-P 6c 2c'
loop_
_atom_site_label
_atom_site_fract_x
_atom_site_fract_y
_atom_site_fract_z
La1 0.3333 0.6667 0.2500
Zn1 0.1428 0.2856 0.7500
```